Entry 1:
Calculated powder X-ray diffraction pattern of Na2Cd4Cl9 for CuKα, from a PBE-relaxed structure.

Main lines, low angle first (2θ from 15° to 90°):
- 17.47°, rel. 47
- 23.84°, rel. 88
- 25.74°, rel. 56
- 29.38°, rel. 51
- 31.91°, rel. 27
- 35.36°, rel. 44
- 38.44°, rel. 100
- 44.25°, rel. 41
- 45.38°, rel. 61
- 60.94°, rel. 22

Structure:
```
data_Na2Cd4Cl9
_symmetry_space_group_name_H-M 'C 1 2/c 1'
_symmetry_Int_Tables_number 15
_symmetry_space_group_name_Hall '-C 2yc'
_cell_length_a 11.993
_cell_length_b 6.923
_cell_length_c 19.081
_cell_angle_alpha 90.00
_cell_angle_beta 90.02
_cell_angle_gamma 90.00
loop_
_atom_site_label
_atom_site_fract_x
_atom_site_fract_y
_atom_site_fract_z
_atom_site_occupancy
Na1 0.000 0.000 0.149 1
Cd1 0.167 0.499 0.312 1
Cd2 0.167 0.500 0.012 1
Cl1 0.000 0.314 0.250 1
Cl2 0.009 0.363 0.920 1
Cl3 0.157 0.158 0.750 1
Cl4 0.177 0.195 0.420 1
Cl5 0.186 0.168 0.080 1
```

***

Entry 2:
Calculated powder X-ray diffraction pattern of NaCd2Cl4 for CuKα, from a PBE-relaxed structure.

Main lines, low angle first (2θ from 15° to 90°):
- 20.36°, rel. 39
- 24.79°, rel. 100
- 32.29°, rel. 21
- 35.03°, rel. 20
- 40.85°, rel. 46
- 41.40°, rel. 22
- 43.91°, rel. 12
- 47.89°, rel. 15
- 48.86°, rel. 29
- 75.14°, rel. 13

Structure:
```
data_NaCd2Cl4
_symmetry_space_group_name_H-M 'P -4 2 m'
_symmetry_Int_Tables_number 111
_symmetry_space_group_name_Hall 'P -4 2'
_cell_length_a 6.168
_cell_length_b 6.168
_cell_length_c 6.331
_cell_angle_alpha 90.00
_cell_angle_beta 90.00
_cell_angle_gamma 90.00
loop_
_atom_site_label
_atom_site_fract_x
_atom_site_fract_y
_atom_site_fract_z
_atom_site_occupancy
Na1 0.000 0.000 0.000 1
Cd1 0.000 0.500 0.500 1
Cl1 0.247 0.247 0.267 1
```

***

Entry 3:
Calculated powder X-ray diffraction pattern of Na2CdCl3 for CuKα, from a PBE-relaxed structure.

Main lines, low angle first (2θ from 15° to 90°):
- 17.23°, rel. 37
- 22.55°, rel. 26
- 30.08°, rel. 100
- 30.22°, rel. 27
- 31.84°, rel. 44
- 42.43°, rel. 17
- 43.68°, rel. 17
- 44.37°, rel. 63
- 55.06°, rel. 16
- 71.87°, rel. 21

Structure:
```
data_Na2CdCl3
_symmetry_space_group_name_H-M 'C 1 2/c 1'
_symmetry_Int_Tables_number 15
_symmetry_space_group_name_Hall '-C 2yc'
_cell_length_a 13.436
_cell_length_b 5.622
_cell_length_c 8.289
_cell_angle_alpha 90.00
_cell_angle_beta 107.97
_cell_angle_gamma 90.00
loop_
_atom_site_label
_atom_site_fract_x
_atom_site_fract_y
_atom_site_fract_z
_atom_site_occupancy
Na1 0.168 0.000 0.084 1
Cd1 0.000 0.500 0.250 1
Cl1 0.000 0.000 0.250 1
Cl2 0.181 0.500 0.091 1
```

***

Entry 4:
Calculated powder X-ray diffraction pattern of NaCdPbCl5 for CuKα, from a PBE-relaxed structure.

Main lines, low angle first (2θ from 15° to 90°):
- 18.12°, rel. 74
- 19.02°, rel. 26
- 19.88°, rel. 100
- 25.74°, rel. 27
- 28.23°, rel. 53
- 32.02°, rel. 47
- 37.98°, rel. 32
- 40.39°, rel. 56
- 43.21°, rel. 33
- 52.44°, rel. 44

Structure:
```
data_NaCdPbCl5
_symmetry_space_group_name_H-M 'C 1 2/c 1'
_symmetry_Int_Tables_number 15
_symmetry_space_group_name_Hall '-C 2yc'
_cell_length_a 10.534
_cell_length_b 10.139
_cell_length_c 10.537
_cell_angle_alpha 90.00
_cell_angle_beta 115.90
_cell_angle_gamma 90.00
loop_
_atom_site_label
_atom_site_fract_x
_atom_site_fract_y
_atom_site_fract_z
_atom_site_occupancy
Na1 0.000 0.025 0.250 1
Cd1 0.250 0.250 0.000 1
Pb1 0.000 0.438 0.250 1
Cl1 0.000 0.252 0.750 1
Cl2 0.101 0.232 0.149 1
Cl3 0.241 0.497 0.515 1
```

***

Entry 5:
Calculated powder X-ray diffraction pattern of NaCdPdCl6 for CuKα, from a PBE-relaxed structure.

Main lines, low angle first (2θ from 15° to 90°):
- 15.44°, rel. 15
- 15.96°, rel. 38
- 19.79°, rel. 100
- 27.22°, rel. 33
- 30.72°, rel. 27
- 31.54°, rel. 15
- 39.55°, rel. 75
- 40.21°, rel. 25
- 49.24°, rel. 38
- 51.97°, rel. 14

Structure:
```
data_NaCdPdCl6
_symmetry_space_group_name_H-M 'P 42 n m'
_symmetry_Int_Tables_number 102
_symmetry_space_group_name_Hall 'P 4n -2n'
_cell_length_a 6.343
_cell_length_b 6.343
_cell_length_c 11.477
_cell_angle_alpha 90.00
_cell_angle_beta 90.00
_cell_angle_gamma 90.00
loop_
_atom_site_label
_atom_site_fract_x
_atom_site_fract_y
_atom_site_fract_z
_atom_site_occupancy
Na1 0.000 0.000 0.000 1
Cd1 0.000 0.000 0.675 1
Pd1 0.000 0.000 0.336 1
Cl1 0.177 0.177 0.489 1
Cl2 0.183 0.183 0.188 1
Cl3 0.207 0.207 0.828 1
```

***

Entry 6:
Calculated powder X-ray diffraction pattern of NaCd2SbCl8 for CuKα, from a PBE-relaxed structure.

Main lines, low angle first (2θ from 15° to 90°):
- 19.79°, rel. 100
- 25.93°, rel. 17
- 26.27°, rel. 35
- 29.72°, rel. 33
- 38.39°, rel. 36
- 39.11°, rel. 55
- 40.21°, rel. 27
- 44.73°, rel. 15
- 47.67°, rel. 25
- 49.36°, rel. 16

Structure:
```
data_NaCd2SbCl8
_symmetry_space_group_name_H-M 'P 1 2/m 1'
_symmetry_Int_Tables_number 10
_symmetry_space_group_name_Hall '-P 2y'
_cell_length_a 6.208
_cell_length_b 8.104
_cell_length_c 6.488
_cell_angle_alpha 90.00
_cell_angle_beta 90.06
_cell_angle_gamma 90.00
loop_
_atom_site_label
_atom_site_fract_x
_atom_site_fract_y
_atom_site_fract_z
_atom_site_occupancy
Na1 0.000 0.000 0.000 1
Cd1 0.500 0.240 0.500 1
Sb1 0.000 0.500 0.000 1
Cl1 0.231 0.262 0.827 1
Cl2 0.276 0.500 0.332 1
Cl3 0.278 0.000 0.337 1
```

***

Entry 7:
Calculated powder X-ray diffraction pattern of NaScCd2Cl8 for CuKα, from a PBE-relaxed structure.

Main lines, low angle first (2θ from 15° to 90°):
- 20.17°, rel. 100
- 26.67°, rel. 29
- 30.23°, rel. 60
- 31.80°, rel. 24
- 39.17°, rel. 35
- 39.76°, rel. 55
- 41.01°, rel. 29
- 45.44°, rel. 22
- 48.77°, rel. 27
- 50.22°, rel. 31

Structure:
```
data_NaScCd2Cl8
_symmetry_space_group_name_H-M 'P 1 2/m 1'
_symmetry_Int_Tables_number 10
_symmetry_space_group_name_Hall '-P 2y'
_cell_length_a 6.117
_cell_length_b 7.982
_cell_length_c 6.339
_cell_angle_alpha 90.00
_cell_angle_beta 90.01
_cell_angle_gamma 90.00
loop_
_atom_site_label
_atom_site_fract_x
_atom_site_fract_y
_atom_site_fract_z
_atom_site_occupancy
Na1 0.000 0.000 0.000 1
Sc1 0.000 0.500 0.000 1
Cd1 0.500 0.245 0.500 1
Cl1 0.218 0.276 0.829 1
Cl2 0.271 0.500 0.317 1
Cl3 0.281 0.000 0.334 1
```

***

Entry 8:
Calculated powder X-ray diffraction pattern of NaTbCdCl6 for CuKα, from a PBE-relaxed structure.

Main lines, low angle first (2θ from 15° to 90°):
- 20.59°, rel. 71
- 26.08°, rel. 28
- 29.75°, rel. 100
- 33.46°, rel. 20
- 38.89°, rel. 84
- 42.91°, rel. 21
- 46.01°, rel. 40
- 48.35°, rel. 19
- 51.06°, rel. 24
- 61.78°, rel. 20

Structure:
```
data_NaTbCdCl6
_symmetry_space_group_name_H-M 'P -3 1 c'
_symmetry_Int_Tables_number 163
_symmetry_space_group_name_Hall '-P 3 2c'
_cell_length_a 6.8330
_cell_length_b 6.8330
_cell_length_c 12.5977
_cell_angle_alpha 90.00
_cell_angle_beta 90.00
_cell_angle_gamma 120.00
loop_
_atom_site_label
_atom_site_fract_x
_atom_site_fract_y
_atom_site_fract_z
_atom_site_occupancy
Na1 0.0000 0.0000 0.0000 1
Tb1 0.3333 0.6667 0.2500 1
Cd1 0.3333 0.6667 0.7500 1
Cl1 0.9996 0.3532 0.6309 1
```

***

Entry 9:
Calculated powder X-ray diffraction pattern of TaNbCdCl2 for CuKα, from a PBE-relaxed structure.

Main lines, low angle first (2θ from 15° to 90°):
- 24.18°, rel. 65
- 27.13°, rel. 96
- 29.63°, rel. 83
- 30.99°, rel. 100
- 38.75°, rel. 79
- 40.61°, rel. 67
- 49.52°, rel. 76
- 55.96°, rel. 26
- 64.59°, rel. 33
- 71.40°, rel. 26

Structure:
```
data_TaNbCdCl2
_symmetry_space_group_name_H-M 'P 4/m m m'
_symmetry_Int_Tables_number 123
_symmetry_space_group_name_Hall '-P 4 2'
_cell_length_a 4.648
_cell_length_b 4.648
_cell_length_c 6.030
_cell_angle_alpha 90.00
_cell_angle_beta 90.00
_cell_angle_gamma 90.00
loop_
_atom_site_label
_atom_site_fract_x
_atom_site_fract_y
_atom_site_fract_z
_atom_site_occupancy
Ta1 0.000 0.000 0.000 1
Nb1 0.500 0.500 0.500 1
Cd1 0.500 0.500 0.000 1
Cl1 0.000 0.500 0.500 1
```

***

Entry 10:
Calculated powder X-ray diffraction pattern of CdNiCl4 for CuKα, from a PBE-relaxed structure.

Main lines, low angle first (2θ from 15° to 90°):
- 18.08°, rel. 100
- 31.55°, rel. 29
- 31.65°, rel. 41
- 36.63°, rel. 14
- 36.75°, rel. 19
- 41.02°, rel. 10
- 41.25°, rel. 8
- 49.07°, rel. 12
- 49.22°, rel. 43
- 56.42°, rel. 12

Structure:
```
data_CdNiCl4
_symmetry_space_group_name_H-M 'I -4'
_symmetry_Int_Tables_number 82
_symmetry_space_group_name_Hall 'I -4'
_cell_length_a 6.917
_cell_length_b 6.917
_cell_length_c 6.962
_cell_angle_alpha 90.00
_cell_angle_beta 90.00
_cell_angle_gamma 90.00
loop_
_atom_site_label
_atom_site_fract_x
_atom_site_fract_y
_atom_site_fract_z
_atom_site_occupancy
Cd1 0.000 0.000 0.000 1
Ni1 0.000 0.500 0.250 1
Cl1 0.160 0.773 0.241 1
```

***

Entry 11:
Calculated powder X-ray diffraction pattern of Cd3NiCl8 for CuKα, from a PBE-relaxed structure.

Main lines, low angle first (2θ from 15° to 90°):
- 27.41°, rel. 79
- 32.71°, rel. 100
- 32.98°, rel. 49
- 35.79°, rel. 17
- 42.43°, rel. 30
- 46.15°, rel. 16
- 46.55°, rel. 32
- 47.72°, rel. 48
- 49.74°, rel. 14
- 59.23°, rel. 15

Structure:
```
data_Cd3NiCl8
_symmetry_space_group_name_H-M 'C 1 2/m 1'
_symmetry_Int_Tables_number 12
_symmetry_space_group_name_Hall '-C 2y'
_cell_length_a 13.204
_cell_length_b 7.624
_cell_length_c 7.872
_cell_angle_alpha 90.00
_cell_angle_beta 124.64
_cell_angle_gamma 90.00
loop_
_atom_site_label
_atom_site_fract_x
_atom_site_fract_y
_atom_site_fract_z
_atom_site_occupancy
Cd1 0.000 0.000 0.000 1
Cd2 0.250 0.250 0.000 1
Ni1 0.000 0.500 0.000 1
Cl1 0.004 0.270 0.787 1
Cl2 0.225 0.500 0.213 1
Cl3 0.244 0.000 0.227 1
```

***

Entry 12:
Calculated powder X-ray diffraction pattern of Rb3Cd2NiCl9 for CuKα, from a PBE-relaxed structure.

Main lines, low angle first (2θ from 15° to 90°):
- 17.24°, rel. 15
- 24.47°, rel. 100
- 30.09°, rel. 18
- 34.89°, rel. 76
- 43.08°, rel. 45
- 50.16°, rel. 49
- 56.58°, rel. 20
- 62.55°, rel. 16
- 68.22°, rel. 23
- 84.17°, rel. 20

Structure:
```
data_Rb3Cd2NiCl9
_symmetry_space_group_name_H-M 'P -3 m 1'
_symmetry_Int_Tables_number 164
_symmetry_space_group_name_Hall '-P 3 2"'
_cell_length_a 7.2733
_cell_length_b 7.2733
_cell_length_c 8.9118
_cell_angle_alpha 90.00
_cell_angle_beta 90.00
_cell_angle_gamma 120.00
loop_
_atom_site_label
_atom_site_fract_x
_atom_site_fract_y
_atom_site_fract_z
_atom_site_occupancy
Rb1 0.0000 0.0000 0.0000 1
Rb2 0.3333 0.6667 0.6653 1
Cd1 0.3333 0.6667 0.1787 1
Ni1 0.0000 0.0000 0.5000 1
Cl1 0.0000 0.5000 0.0000 1
Cl2 0.1581 0.3162 0.3432 1
```